The following is a computed X-ray powder pattern of BaSn8Pt2. It was derived from the PBE geometry in Alexandria, using Cu Kα, 1.54184 Å.
Peak positions follow from Bragg's law for the DFT cell and can differ from measured ones.

Structural model:
Unit cell a=8.8368 b=13.8253 c=5.0233 alpha=90.00 beta=95.93 gamma=90.00
Space group C2/m (No. 12)
Symmetry-distinct sites (fractional):
Ba 0.0000 0.0000 0.0000 [2 per cell]
Sn 0.0000 0.2570 0.0000 [4 per cell]
Sn 0.1033 0.5000 0.7857 [4 per cell]
Sn 0.2006 0.1467 0.5961 [8 per cell]
Pt 0.0000 0.3323 0.5000 [4 per cell]

Principal peaks in the range 10 to 90 degrees two-theta, sorted by position:
2θ (°), d (Å), I_rel, h k l
11.93, 7.417, 30.5, 1 1 0
20.21, 4.395, 30.2, 2 0 0
28.40, 3.143, 37.5, 2 0 1
28.90, 3.089, 39.4, 1 3 1
31.47, 2.842, 100.0, 0 4 1
32.97, 2.717, 34.5, 2 4 0
34.47, 2.602, 62.2, 3 1 -1
36.34, 2.472, 75.5, 3 3 0
43.22, 2.093, 39.6, 0 6 1
43.36, 2.087, 47.5, 1 3 2

---

The following is a computed X-ray powder pattern of Ba3Sn9Pt2. It was derived from the PBE geometry in Alexandria, using Cu Kα, 1.54184 Å.
Peak positions follow from Bragg's law for the DFT cell and can differ from measured ones.

Structural model:
Unit cell a=4.6694 b=12.5080 c=13.9576 alpha=90.00 beta=90.00 gamma=90.00
Space group Immm (No. 71)
Symmetry-distinct sites (fractional):
Ba 0.0000 0.0000 0.0000 [2 per cell]
Ba 0.0000 0.0000 0.3138 [4 per cell]
Sn 0.0000 0.2885 0.1220 [8 per cell]
Sn 0.0000 0.3639 0.3465 [8 per cell]
Sn 0.0000 0.5000 0.0000 [2 per cell]
Pt 0.0000 0.2194 0.5000 [4 per cell]

Principal peaks in the range 10 to 90 degrees two-theta, sorted by position:
2θ (°), d (Å), I_rel, h k l
28.72, 3.108, 53.8, 1 3 0
30.66, 2.916, 100.0, 1 2 3
31.49, 2.841, 21.2, 1 3 2
36.49, 2.462, 19.9, 0 5 1
38.56, 2.335, 41.2, 2 0 0
38.69, 2.327, 25.2, 0 0 6
38.79, 2.322, 34.9, 1 3 4
40.31, 2.237, 21.0, 1 2 5
48.83, 1.865, 20.4, 2 3 3
51.91, 1.761, 20.5, 1 6 3

---

The following is a computed X-ray powder pattern of Ba3Sn2Pt2. It was derived from the PBE geometry in Alexandria, using Cu Kα, 1.54184 Å.
Peak positions follow from Bragg's law for the DFT cell and can differ from measured ones.

Structural model:
Unit cell a=6.5052 b=9.1984 c=14.5868 alpha=90.00 beta=90.00 gamma=90.00
Space group Pbcm (No. 57)
Symmetry-distinct sites (fractional):
Ba 0.1450 0.1067 0.0974 [8 per cell]
Ba 0.3405 0.7429 0.7500 [4 per cell]
Sn 0.1795 0.0949 0.7500 [4 per cell]
Sn 0.3751 0.7500 0.0000 [4 per cell]
Pt 0.3914 0.0334 0.5872 [8 per cell]

Principal peaks in the range 10 to 90 degrees two-theta, sorted by position:
2θ (°), d (Å), I_rel, h k l
13.61, 6.505, 32.0, 1 0 0
29.12, 3.067, 26.8, 2 1 0
29.74, 3.004, 43.1, 1 1 4
30.07, 2.972, 38.4, 1 2 3
31.30, 2.857, 33.1, 0 2 4
32.28, 2.773, 58.6, 1 3 0
34.28, 2.616, 23.3, 1 2 4
34.58, 2.594, 100.0, 2 1 3
36.98, 2.431, 29.1, 0 0 6
55.21, 1.664, 21.6, 1 5 3

---

The following is a computed X-ray powder pattern of BaZnSnPt2. It was derived from the PBE geometry in Alexandria, using Cu Kα, 1.54184 Å.
Peak positions follow from Bragg's law for the DFT cell and can differ from measured ones.

Structural model:
Unit cell a=4.5253 b=4.5253 c=11.4111 alpha=90.00 beta=90.00 gamma=90.00
Space group I-4m2 (No. 119)
Symmetry-distinct sites (fractional):
Ba 0.0000 0.0000 0.0000 [2 per cell]
Zn 0.0000 0.5000 0.2500 [2 per cell]
Sn 0.0000 0.5000 0.7500 [2 per cell]
Pt 0.0000 0.0000 0.3777 [4 per cell]

Principal peaks in the range 10 to 90 degrees two-theta, sorted by position:
2θ (°), d (Å), I_rel, h k l
21.12, 4.207, 37.0, 1 0 1
27.88, 3.200, 43.0, 1 1 0
30.71, 2.912, 100.0, 1 0 3
32.07, 2.791, 66.9, 1 1 2
39.84, 2.263, 81.4, 2 0 0
42.45, 2.129, 54.0, 1 1 4
44.46, 2.038, 43.5, 1 0 5
51.12, 1.787, 48.6, 2 1 3
57.61, 1.600, 27.9, 2 2 0
61.21, 1.514, 34.1, 2 1 5

---

The following is a computed X-ray powder pattern of Ba5Sr3Pt2. It was derived from the PBE geometry in Alexandria, using Cu Kα, 1.54184 Å.
Peak positions follow from Bragg's law for the DFT cell and can differ from measured ones.

Structural model:
Unit cell a=12.5433 b=17.8676 c=9.0015 alpha=90.00 beta=90.00 gamma=90.00
Space group Ibam (No. 72)
Symmetry-distinct sites (fractional):
Ba 0.0000 0.0000 0.2500 [4 per cell]
Ba 0.0000 0.2572 0.2500 [8 per cell]
Ba 0.2418 0.3778 0.0000 [8 per cell]
Sr 0.0000 0.5000 0.2500 [4 per cell]
Sr 0.2412 0.3784 0.5000 [8 per cell]
Pt 0.0032 0.3775 0.5000 [8 per cell]

Principal peaks in the range 10 to 90 degrees two-theta, sorted by position:
2θ (°), d (Å), I_rel, h k l
14.12, 6.272, 26.9, 2 0 0
16.48, 5.380, 25.9, 1 3 0
21.56, 4.122, 23.5, 1 1 2
24.34, 3.657, 25.1, 2 0 2
24.47, 3.638, 24.4, 2 4 0
28.15, 3.170, 100.0, 0 4 2
28.46, 3.136, 48.2, 4 0 0
40.44, 2.230, 92.3, 4 4 2
49.88, 1.828, 20.3, 4 0 4
66.06, 1.414, 25.2, 4 8 4

---

The following is a computed X-ray powder pattern of Ba2Sr6Pt. It was derived from the PBE geometry in Alexandria, using Cu Kα, 1.54184 Å.
Peak positions follow from Bragg's law for the DFT cell and can differ from measured ones.

Structural model:
Unit cell a=8.6995 b=8.6995 c=12.2666 alpha=90.00 beta=90.00 gamma=90.00
Space group I4/mmm (No. 139)
Symmetry-distinct sites (fractional):
Ba 0.0000 0.5000 0.2500 [4 per cell]
Sr 0.0000 0.0000 0.2441 [4 per cell]
Sr 0.2433 0.2433 0.0000 [8 per cell]
Pt 0.0000 0.0000 0.0000 [2 per cell]

Principal peaks in the range 10 to 90 degrees two-theta, sorted by position:
2θ (°), d (Å), I_rel, h k l
12.47, 7.096, 44.1, 1 0 1
20.44, 4.345, 37.7, 2 0 0
24.01, 3.706, 22.3, 1 0 3
25.10, 3.548, 72.8, 2 0 2
29.06, 3.073, 100.0, 2 2 0
35.79, 2.509, 18.2, 2 0 4
41.56, 2.173, 75.0, 4 0 0
49.13, 1.854, 22.2, 4 2 2
51.51, 1.774, 26.5, 4 0 4
68.20, 1.375, 22.7, 6 2 0

---

The following is a computed X-ray powder pattern of Ba3Sr3Pt2. It was derived from the PBE geometry in Alexandria, using Cu Kα, 1.54184 Å.
Peak positions follow from Bragg's law for the DFT cell and can differ from measured ones.

Structural model:
Unit cell a=16.5258 b=16.5258 c=20.3973 alpha=90.00 beta=90.00 gamma=120.00
Space group R-3 (No. 148, hexagonal axes)
Symmetry-distinct sites (fractional):
Ba 0.0113 0.8497 0.1634 [18 per cell]
Ba 0.0511 0.7793 0.4571 [18 per cell]
Sr 0.0279 0.7667 0.9649 [18 per cell]
Sr 0.0327 0.8682 0.6632 [18 per cell]
Pt 0.0000 0.0000 0.2521 [6 per cell]
Pt 0.0002 0.4931 0.2526 [18 per cell]

Principal peaks in the range 10 to 90 degrees two-theta, sorted by position:
2θ (°), d (Å), I_rel, h k l
15.12, 5.858, 100.0, 2 0 2
24.02, 3.704, 50.1, 3 1 2
28.54, 3.127, 27.3, 4 -3 4
30.52, 2.929, 31.1, 4 0 4
34.16, 2.625, 36.1, 2 2 6
34.30, 2.614, 34.7, 6 -2 2
37.44, 2.402, 11.1, 2 0 8
37.67, 2.388, 31.3, 6 -4 4
45.02, 2.014, 11.3, 2 3 8
45.23, 2.005, 14.0, 8 -3 2

---

The following is a computed X-ray powder pattern of Ba6Sr3Pt. It was derived from the PBE geometry in Alexandria, using Cu Kα, 1.54184 Å.
Peak positions follow from Bragg's law for the DFT cell and can differ from measured ones.

Structural model:
Unit cell a=19.0499 b=18.7479 c=6.3470 alpha=90.00 beta=90.00 gamma=90.00
Space group Cmcm (No. 63)
Symmetry-distinct sites (fractional):
Ba 0.0000 0.0860 0.2500 [4 per cell]
Ba 0.0000 0.2515 0.7500 [4 per cell]
Ba 0.1633 0.2520 0.2500 [8 per cell]
Ba 0.1687 0.4206 0.7500 [8 per cell]
Sr 0.0000 0.4145 0.2500 [4 per cell]
Sr 0.1670 0.0811 0.7500 [8 per cell]
Pt 0.0000 0.2529 0.2500 [4 per cell]

Principal peaks in the range 10 to 90 degrees two-theta, sorted by position:
2θ (°), d (Å), I_rel, h k l
15.46, 5.733, 15.9, 1 1 1
24.41, 3.646, 100.0, 3 3 1
28.11, 3.175, 75.3, 0 0 2
28.57, 3.125, 34.6, 0 6 0
40.18, 2.245, 27.7, 6 0 2
40.51, 2.227, 53.6, 0 6 2
47.57, 1.911, 31.9, 3 3 3
48.16, 1.890, 15.2, 3 9 1
50.03, 1.823, 28.9, 6 6 2
73.24, 1.292, 18.7, 6 6 4